LaGa7Au3: calculated powder X-ray diffraction pattern (Cu Kα X-rays), based on a crystal structure in Alexandria, relaxed with GGA-PBE.

Structural model:
```
data_LaGa7Au3
_symmetry_space_group_name_H-M 'R -3 c'
_symmetry_Int_Tables_number 167
_symmetry_space_group_name_Hall '-R 3 2"c'
_cell_length_a 8.3234
_cell_length_b 8.3234
_cell_length_c 21.3254
_cell_angle_alpha 90.00
_cell_angle_beta 90.00
_cell_angle_gamma 120.00
loop_
_atom_site_label
_atom_site_type_symbol
_atom_site_fract_x
_atom_site_fract_y
_atom_site_fract_z
La1 La 0.0000 0.0000 0.0000
Ga1 Ga 0.0000 0.0000 0.2500
Ga2 Ga 0.0129 0.2071 0.1346
Au1 Au 0.0000 0.3130 0.2500
```

Most intense lines, 2θ = 10–80°, sorted by position:
d/Å, 2θ (°), I_rel, h k l
3.591, 24.79, 100.0, 1 1 3
2.703, 33.15, 75.7, 2 1 1
2.426, 37.06, 31.8, 2 1 4
2.403, 37.43, 52.5, 3 0 0
2.059, 43.97, 68.7, 1 1 9
1.997, 45.42, 55.6, 2 2 3
1.991, 45.57, 37.6, 0 3 6
1.429, 65.31, 32.2, 3 0 12